[1]
Simulated powder diffractogram
Compound: ZnPtBr6
Radiation: CuKα
Structure: a crystal structure in OQMD, relaxed with GGA-PBE

Atomic structure:
abc: 6.4932 6.4932 17.4896
angles: 90.00 90.00 120.00
Space group R-3 (No. 148, hexagonal axes)
One atom of each set of equivalent atoms:
1 Zn 0.0000 0.0000 0.0000 [3 per cell]
2 Pt 0.0000 0.0000 0.5000 [3 per cell]
3 Br 0.0024 0.6815 0.4175 [18 per cell]

Main lines, in order of rising 2θ (10 to 90 degrees two-theta):
(hkl)	2θ (°)	intensity
1 0 1	16.56	25
0 1 2	18.76	68
1 0 4	25.81	28
2 -1 3	31.54	100
2 -1 6	41.64	62
3 0 0	48.57	42
1 1 9	55.06	24
2 2 3	59.07	15
2 2 6	65.86	15
3 0 12	84.14	17

=====

[2]
Simulated powder diffractogram
Compound: PuBr
Radiation: CuKα
Structure: a crystal structure in OQMD, relaxed with GGA-PBE

Atomic structure:
abc: 3.6028 3.6028 4.6923
angles: 90.00 90.00 120.00
Space group P-6m2 (No. 187)
One atom of each set of equivalent atoms:
1 Pu 0.0000 0.0000 0.0000 [1 per cell]
2 Br 0.3333 0.6667 0.5000 [1 per cell]

Main lines, in order of rising 2θ (10 to 90 degrees two-theta):
(hkl)	2θ (°)	intensity
0 0 1	18.91	20
1 0 0	28.61	42
1 0 1	34.52	100
0 0 2	38.37	16
1 0 2	48.55	21
1 1 0	50.68	21
2 0 1	62.77	18
1 1 2	65.31	20
1 0 3	66.92	15
2 1 1	84.76	16

=====

[3]
Simulated powder diffractogram
Compound: RbW2S2Br6
Radiation: CuKα
Structure: a crystal structure in OQMD, relaxed with GGA-PBE

Atomic structure:
abc: 4.5822 10.9845 13.5085
angles: 90.00 90.00 90.00
Space group Immm (No. 71)
One atom of each set of equivalent atoms:
1 Rb 0.0000 0.0000 0.0000 [2 per cell]
2 W 0.0000 0.1380 0.5000 [4 per cell]
3 S 0.0000 0.3593 0.0000 [4 per cell]
4 Br 0.0000 0.0000 0.3459 [4 per cell]
5 Br 0.0000 0.3121 0.3689 [8 per cell]

Main lines, in order of rising 2θ (10 to 90 degrees two-theta):
(hkl)	2θ (°)	intensity
0 1 1	10.38	66
0 0 2	13.11	95
1 0 1	20.47	100
1 1 0	21.01	34
0 3 3	31.49	92
2 0 0	39.33	35
1 3 4	41.37	41
0 3 5	41.57	32
1 4 3	43.35	30
2 3 3	51.22	46

=====

[4]
Simulated powder diffractogram
Compound: RbW2Se2Br6
Radiation: CuKα
Structure: a crystal structure in OQMD, relaxed with GGA-PBE

Atomic structure:
abc: 4.8242 10.7950 12.5805
angles: 90.00 90.00 90.00
Space group Immm (No. 71)
One atom of each set of equivalent atoms:
1 Rb 0.0000 0.0000 0.0000 [2 per cell]
2 W 0.0000 0.1414 0.5000 [4 per cell]
3 Se 0.0000 0.3540 0.0000 [4 per cell]
4 Br 0.0000 0.0000 0.3358 [4 per cell]
5 Br 0.0000 0.3191 0.3601 [8 per cell]

Main lines, in order of rising 2θ (10 to 90 degrees two-theta):
(hkl)	2θ (°)	intensity
0 1 1	10.80	72
0 0 2	14.08	82
1 0 1	19.71	59
1 1 0	20.16	20
0 3 1	25.76	24
0 3 3	32.80	100
2 0 0	37.28	42
1 3 4	42.52	26
0 0 6	43.14	21
2 3 3	50.48	57